Entry 1:
Structure and calculated powder XRD pattern of Cs3CdAg2Cl6 (a structure optimized by DFT (GGA-PBE); Cu Kα (λ = 1.5418 Å)).
Neutral-atom scattering factors, no anomalous dispersion.

Peak list (12 most intense, 10 to 90 degrees two-theta, sorted by position)
two_theta	intensity
10.2	12
22.6	100
24.3	76
33.4	70
39.7	23
40.7	40
43.8	14
46.1	29
49.9	17
52.8	18
55.4	13
58.2	19

Structure:
```
Cs3CdAg2Cl6
1.0
7.869 0.000 0.000
-3.934 6.815 0.000
0.000 0.000 8.672
Cs Cd Ag Cl
3 1 2 6
Cartesian
0.000 0.000 0.000 Cs
0.000 4.543 5.508 Cs
3.934 2.272 3.164 Cs
0.000 0.000 4.336 Cd
0.000 4.543 1.635 Ag
3.934 2.272 7.037 Ag
0.000 2.188 2.691 Cl
-2.040 5.721 2.691 Cl
1.895 1.094 5.981 Cl
2.040 5.721 2.691 Cl
5.974 1.094 5.981 Cl
3.934 4.627 5.981 Cl
```



Entry 2:
Structure and calculated powder XRD pattern of KUTe2O8 (a structure optimized by DFT (GGA-PBE); Cu Kα (λ = 1.5418 Å)).
Neutral-atom scattering factors, no anomalous dispersion.

Peak list (12 most intense, 10 to 90 degrees two-theta, sorted by position)
two_theta	intensity
14.9	61
20.8	46
21.1	57
24.5	69
27.3	100
29.8	53
30.2	26
31.1	26
42.9	38
51.4	19
55.9	18
56.3	23

Structure:
```
KUTe2O8
1.0
3.899 -4.561 0.000
3.899 4.561 0.000
0.000 0.000 11.999
K U Te O
2 2 4 16
Cartesian
0.000 0.000 0.000 K
0.000 0.000 5.999 K
3.899 0.000 0.000 U
3.899 0.000 5.999 U
1.979 1.531 8.999 Te
1.979 -1.531 3.000 Te
5.819 1.531 8.999 Te
5.819 -1.531 3.000 Te
3.899 3.628 3.000 O
3.899 2.252 8.999 O
2.294 0.325 7.570 O
2.294 0.325 10.428 O
3.899 1.798 0.404 O
3.899 1.798 5.595 O
2.294 -0.325 1.571 O
2.294 -0.325 4.428 O
5.504 0.325 7.570 O
5.504 0.325 10.428 O
3.899 -1.798 6.404 O
3.899 -1.798 11.594 O
5.504 -0.325 1.571 O
5.504 -0.325 4.428 O
3.899 -2.252 3.000 O
3.899 -3.628 8.999 O
```



Entry 3:
Structure and calculated powder XRD pattern of CeH3C3O6 (a structure optimized by DFT (GGA-PBE); Cu Kα (λ = 1.5418 Å)).
Neutral-atom scattering factors, no anomalous dispersion.

Peak list (12 most intense, 10 to 90 degrees two-theta, sorted by position)
two_theta	intensity
16.4	100
23.5	31
28.6	11
28.8	36
33.2	36
33.4	43
41.1	29
44.4	14
44.5	13
44.9	17
47.8	21
62.4	11

Structure:
```
CeH3C3O6
1.0
5.397 3.116 1.377
-5.397 3.116 1.377
0.000 -6.232 1.377
Ce H C O
1 3 3 6
Cartesian
0.000 0.000 0.000 Ce
0.000 -3.031 2.216 H
-2.625 1.515 2.216 H
2.625 1.515 2.216 H
-2.479 -1.432 1.891 C
2.479 -1.431 1.891 C
0.000 2.863 1.891 C
-3.230 -1.865 2.811 O
-1.382 -0.798 2.087 O
1.382 -0.798 2.087 O
0.000 1.596 2.087 O
3.230 -1.865 2.811 O
0.000 3.730 2.811 O
```



Entry 4:
Structure and calculated powder XRD pattern of ZrCo2Tc (a structure optimized by DFT (GGA-PBE); Cu Kα (λ = 1.5418 Å)).
Neutral-atom scattering factors, no anomalous dispersion.

Peak list (12 most intense, 10 to 90 degrees two-theta, sorted by position)
two_theta	intensity
23.4	5
29.5	3
41.0	100
42.3	23
42.7	22
57.0	9
61.7	15
73.4	8
73.7	8
76.4	14
77.0	14
88.9	10

Structure:
```
ZrCo2Tc
1.0
-1.617 2.118 4.274
1.617 -2.118 4.274
1.617 2.118 -4.274
Zr Co Tc
1 2 1
Cartesian
0.000 0.000 0.000 Zr
1.617 0.000 2.187 Co
0.000 0.000 4.298 Co
0.000 2.118 2.082 Tc
```